No. 1
Diffraction record for LiLa3. The powder diffractogram is theoretical, not measured: it uses the PBE geometry in the Materials Project and Cu Kα.
Intensities are scaled so that the largest is 100.

Most intense lines, 10 to 90 degrees two-theta, by intensity:
30.26 deg, I = 100.0; 35.08 deg, I = 50.5; 59.97 deg, I = 42.6; 50.45 deg, I = 35.9; 17.33 deg, I = 29.1; 24.61 deg, I = 25.4; 82.12 deg, I = 17.3; 84.74 deg, I = 16.1; 39.38 deg, I = 14.8; 62.93 deg, I = 12.2

```
LiLa3
1.0
5.116 0.000 0.000
0.000 5.116 0.000
0.000 0.000 5.116
Li La
1 3
Direct
0.000 0.000 0.000 Li
0.000 0.500 0.500 La
0.500 0.000 0.500 La
0.500 0.500 0.000 La
```



No. 2
Diffraction record for LiLa3. The powder diffractogram is theoretical, not measured: it uses the PBE geometry in the Materials Project and Cu Kα.
Intensities are scaled so that the largest is 100.

Most intense lines, 10 to 90 degrees two-theta, by intensity:
32.49 deg, I = 100.0; 21.43 deg, I = 37.4; 27.94 deg, I = 24.8; 32.85 deg, I = 22.1; 60.63 deg, I = 21.1; 49.43 deg, I = 19.6; 58.42 deg, I = 18.6; 60.41 deg, I = 15.7; 43.65 deg, I = 14.7; 24.13 deg, I = 13.9

```
LiLa3
1.0
7.375 0.000 0.000
-3.688 6.387 0.000
0.000 0.000 5.453
Li La
2 6
Direct
0.333 0.667 0.250 Li
0.667 0.333 0.750 Li
0.175 0.350 0.750 La
0.175 0.825 0.750 La
0.350 0.175 0.250 La
0.650 0.825 0.750 La
0.825 0.175 0.250 La
0.825 0.650 0.250 La
```